(1)
The following is a theoretical X-ray powder pattern of Pr2S3. It was derived from a DFT-relaxed cell (GGA-PBE, Alexandria), using Cu Kα X-rays.

Cell and atoms:
```
data_Pr2S3
_chemical_formula_sum 'Pr8 S12'
_cell_length_a 11.131
_cell_length_b 4.074
_cell_length_c 10.802
_cell_angle_alpha 90.00
_cell_angle_beta 90.00
_cell_angle_gamma 90.00
_space_group_name_H-M_alt 'P n m a'
_space_group_IT_number 62
_space_group_name_Hall '-P 2ac 2n'
loop_
_atom_site_label
_atom_site_type_symbol
_atom_site_fract_x
_atom_site_fract_y
_atom_site_fract_z
_atom_site_occupancy
Pr1 Pr 0.009 0.250 0.186 1
Pr2 Pr 0.192 0.250 0.505 1
S1 S 0.046 0.750 0.374 1
S2 S 0.121 0.250 0.945 1
S3 S 0.230 0.750 0.700 1
```

Top 10 peaks for 10 to 90 degrees two-theta, in order of rising 2θ:
2θ (°)	d/Å	I_rel
22.94	3.876	100
23.33	3.812	47
24.68	3.607	43
25.38	3.509	55
26.01	3.426	48
28.59	3.122	54
31.87	2.808	39
33.20	2.698	39
34.19	2.622	63
44.47	2.037	40

---

(2)
The following is a theoretical X-ray powder pattern of Cr2Ni9Sn. It was derived from a DFT-relaxed cell (GGA-PBE, Alexandria), using Cu Kα X-rays.

Cell and atoms:
```
data_Cr2Ni9Sn
_chemical_formula_sum 'Cr2 Ni9 Sn1'
_cell_length_a 3.616
_cell_length_b 3.616
_cell_length_c 10.811
_cell_angle_alpha 90.00
_cell_angle_beta 90.00
_cell_angle_gamma 90.00
_space_group_name_H-M_alt 'P 4/m m m'
_space_group_IT_number 123
_space_group_name_Hall '-P 4 2'
loop_
_atom_site_label
_atom_site_type_symbol
_atom_site_fract_x
_atom_site_fract_y
_atom_site_fract_z
_atom_site_occupancy
Cr1 Cr 0.000 0.000 0.161 1
Ni1 Ni 0.000 0.500 0.000 1
Ni2 Ni 0.000 0.500 0.320 1
Ni3 Ni 0.500 0.500 0.161 1
Ni4 Ni 0.500 0.500 0.500 1
Sn1 Sn 0.000 0.000 0.500 1
```

Top 10 peaks for 10 to 90 degrees two-theta, in order of rising 2θ:
2θ (°)	d/Å	I_rel
25.99	3.429	3
29.73	3.005	2
38.97	2.311	3
41.76	2.163	3
43.40	2.085	100
50.49	1.808	32
50.66	1.802	14
67.53	1.387	2
74.18	1.278	9
74.33	1.276	17